1.
Structure and computed powder diffraction line list of LaPmPtN2 (a DFT-relaxed cell (GGA-PBE, Alexandria); copper Kα).
No peak broadening, texture or thermal motion is included.

Principal peaks in the range 2θ = 10–90°, sorted by position:
16.18°, I 30
17.23°, I 20
31.66°, I 12
32.69°, I 28
34.86°, I 24
35.75°, I 100
48.54°, I 23
60.25°, I 11
60.45°, I 13
63.09°, I 19

Structural model:
```
data_LaPmPtN2
_cell_length_a 5.4791
_cell_length_b 5.1471
_cell_length_c 6.7618
_cell_angle_alpha 90.00
_cell_angle_beta 90.22
_cell_angle_gamma 90.00
_space_group_name_H-M_alt 'P 1 2/c 1'
_space_group_IT_number 13
loop_
_space_group_symop_operation_xyz
'x,y,z'
'-x,-y,-z'
'-x,y,-z+1/2'
'x,-y,z+1/2'
loop_
_atom_site_label
_atom_site_type_symbol
_atom_site_fract_x
_atom_site_fract_y
_atom_site_fract_z
La1 La 0.0000 0.0031 0.2500
Pm1 Pm 0.5000 0.4991 0.7500
Pt1 Pt 0.5000 0.0000 0.0000
N1 N 0.2284 0.2841 0.0001
```

=====

2.
Structure and computed powder diffraction line list of La2PmPuN5 (a DFT-relaxed cell (GGA-PBE, Alexandria); copper Kα).
No peak broadening, texture or thermal motion is included.

Principal peaks in the range 2θ = 10–90°, sorted by position:
28.23°, I 26
28.42°, I 100
30.30°, I 39
30.86°, I 17
31.19°, I 40
31.80°, I 38
35.64°, I 21
38.60°, I 21
47.00°, I 18
49.84°, I 23

Structural model:
```
data_La2PmPuN5
_cell_length_a 3.8667
_cell_length_b 13.1239
_cell_length_c 11.7986
_cell_angle_alpha 90.00
_cell_angle_beta 90.00
_cell_angle_gamma 90.00
_space_group_name_H-M_alt 'C m c 21'
_space_group_IT_number 36
loop_
_space_group_symop_operation_xyz
'x,y,z'
'-x,-y,z+1/2'
'-x,y,z'
'x,-y,z+1/2'
'x+1/2,y+1/2,z'
'-x+1/2,-y+1/2,z+1/2'
'-x+1/2,y+1/2,z'
'x+1/2,-y+1/2,z+1/2'
loop_
_atom_site_label
_atom_site_type_symbol
_atom_site_fract_x
_atom_site_fract_y
_atom_site_fract_z
La1 La 0.0000 0.0933 0.0000
La2 La 0.0000 0.1601 0.5358
Pm1 Pm 0.0000 0.2668 0.2818
Pu1 Pu 0.0000 0.4590 0.7712
N1 N 0.0000 0.0756 0.3440
N2 N 0.0000 0.2522 0.9198
N3 N 0.0000 0.3312 0.6599
N4 N 0.0000 0.4184 0.1425
N5 N 0.0000 0.4262 0.3793
```

=====

3.
Structure and computed powder diffraction line list of LaPmSN (a DFT-relaxed cell (GGA-PBE, Alexandria); copper Kα).
No peak broadening, texture or thermal motion is included.

Principal peaks in the range 2θ = 10–90°, sorted by position:
27.00°, I 22
28.51°, I 76
32.60°, I 100
35.40°, I 13
45.80°, I 29
47.73°, I 37
55.69°, I 22
56.54°, I 12
59.00°, I 18
79.19°, I 15

Structural model:
```
data_LaPmSN
_cell_length_a 3.8107
_cell_length_b 3.8107
_cell_length_c 19.8150
_cell_angle_alpha 90.00
_cell_angle_beta 90.00
_cell_angle_gamma 120.00
_space_group_name_H-M_alt 'R 3 m'
_space_group_IT_number 160
_space_group_name_Hall 'R 3 -2"'
loop_
_atom_site_label
_atom_site_type_symbol
_atom_site_fract_x
_atom_site_fract_y
_atom_site_fract_z
La1 La 0.0000 0.0000 0.0000
Pm1 Pm 0.0000 0.0000 0.5253
S1 S 0.0000 0.0000 0.7655
N1 N 0.0000 0.0000 0.2599
```

=====

4.
Structure and computed powder diffraction line list of La2PmSnN4 (a DFT-relaxed cell (GGA-PBE, Alexandria); copper Kα).
No peak broadening, texture or thermal motion is included.

Principal peaks in the range 2θ = 10–90°, sorted by position:
25.73°, I 24
28.21°, I 48
28.93°, I 100
29.46°, I 51
33.62°, I 16
35.85°, I 89
41.24°, I 31
47.06°, I 21
49.33°, I 19
58.50°, I 17

Structural model:
```
data_La2PmSnN4
_cell_length_a 3.6950
_cell_length_b 12.1266
_cell_length_c 12.6554
_cell_angle_alpha 90.00
_cell_angle_beta 90.00
_cell_angle_gamma 90.00
_space_group_name_H-M_alt 'C m c m'
_space_group_IT_number 63
_space_group_name_Hall '-C 2c 2'
loop_
_atom_site_label
_atom_site_type_symbol
_atom_site_fract_x
_atom_site_fract_y
_atom_site_fract_z
La1 La 0.0000 0.1291 0.0369
Pm1 Pm 0.0000 0.3858 0.2500
Sn1 Sn 0.0000 0.3488 0.7500
N1 N 0.0000 0.0543 0.2500
N2 N 0.0000 0.2249 0.6316
N3 N 0.0000 0.5000 0.0000
```